# 1
Structure and theoretical PXRD pattern of Rb2ZrI6O18 (the PBE geometry in Alexandria; Cu Kα (weighted mean of Kα1 and Kα2)).
Lines closer than 0.1° are merged.

```
Rb2ZrI6O18
1.0
5.948 3.434 3.946
-5.948 3.434 3.946
0.000 -6.868 3.946
Rb Zr I O
2 1 6 18
direct
0.169 0.169 0.169 Rb
0.831 0.831 0.831 Rb
0.500 0.500 0.500 Zr
0.122 0.704 0.331 I
0.296 0.669 0.878 I
0.331 0.122 0.704 I
0.669 0.878 0.296 I
0.704 0.331 0.122 I
0.878 0.296 0.669 I
0.089 0.693 0.098 O
0.098 0.089 0.693 O
0.101 0.606 0.721 O
0.279 0.899 0.394 O
0.283 0.549 0.341 O
0.307 0.902 0.911 O
0.341 0.283 0.549 O
0.394 0.279 0.899 O
0.451 0.659 0.717 O
0.549 0.341 0.283 O
0.606 0.721 0.101 O
0.659 0.717 0.451 O
0.693 0.098 0.089 O
0.717 0.451 0.659 O
0.721 0.101 0.606 O
0.899 0.394 0.279 O
0.902 0.911 0.307 O
0.911 0.307 0.902 O
```

Main lines, by angle (2θ from 15° to 90°):
d/Å  2θ (°)  I_rel
3.886  22.89  27.1
3.699  24.06  58.3
3.434  25.95  58.2
3.288  27.12  100.0
2.778  32.23  44.6
2.375  37.88  19.1
1.946  46.69  20.5
1.873  48.62  22.2

***

# 2
Structure and theoretical PXRD pattern of RhIO6 (the PBE geometry in Alexandria; Cu Kα (weighted mean of Kα1 and Kα2)).
Lines closer than 0.1° are merged.

```
RhIO6
1.0
4.857 0.000 0.000
0.000 9.889 0.000
-1.199 0.000 4.692
Rh I O
2 2 12
direct
0.000 0.000 0.000 Rh
0.500 0.500 0.000 Rh
0.000 0.500 0.500 I
0.500 0.000 0.500 I
0.231 0.000 0.731 O
0.234 0.371 0.748 O
0.234 0.629 0.748 O
0.266 0.129 0.252 O
0.266 0.871 0.252 O
0.269 0.500 0.269 O
0.731 0.500 0.731 O
0.734 0.129 0.748 O
0.734 0.871 0.748 O
0.766 0.371 0.252 O
0.766 0.629 0.252 O
0.769 0.000 0.269 O
```

Main lines, by angle (2θ from 15° to 90°):
d/Å  2θ (°)  I_rel
4.945  17.94  100.0
3.572  24.93  77.2
2.849  31.40  33.5
2.208  40.86  32.9
2.125  42.55  12.8
2.120  42.66  12.5
1.703  53.83  20.3
1.647  55.80  16.3

***

# 3
Structure and theoretical PXRD pattern of RuI2O2 (the PBE geometry in Alexandria; Cu Kα (weighted mean of Kα1 and Kα2)).
Lines closer than 0.1° are merged.

```
RuI2O2
1.0
4.074 0.000 0.000
0.000 4.074 0.000
0.000 0.000 5.966
Ru I O
1 2 2
direct
0.000 0.000 0.000 Ru
0.000 0.000 0.500 I
0.500 0.500 0.500 I
0.000 0.500 0.000 O
0.500 0.000 0.000 O
```

Main lines, by angle (2θ from 15° to 90°):
d/Å  2θ (°)  I_rel
3.364  26.49  31.9
2.983  29.96  81.4
2.881  31.04  100.0
2.594  34.57  47.8
2.072  43.68  78.6
2.037  44.47  53.0
1.682  54.55  56.6
1.183  81.35  26.7

***

# 4
Structure and theoretical PXRD pattern of RuIO (the PBE geometry in Alexandria; Cu Kα (weighted mean of Kα1 and Kα2)).
Lines closer than 0.1° are merged.

```
RuIO
1.0
6.014 0.000 0.000
-3.007 5.208 0.000
0.000 0.000 6.806
Ru I O
3 3 3
direct
0.000 0.213 0.333 Ru
0.213 0.000 0.667 Ru
0.787 0.787 0.000 Ru
0.000 0.664 0.333 I
0.336 0.336 0.000 I
0.664 0.000 0.667 I
0.000 0.734 0.833 O
0.266 0.266 0.500 O
0.734 0.000 0.167 O
```

Main lines, by angle (2θ from 15° to 90°):
d/Å  2θ (°)  I_rel
5.208  17.02  36.9
4.136  21.48  100.0
3.007  29.71  37.9
2.849  31.40  51.5
2.751  32.55  19.9
2.432  36.96  74.6
2.269  39.73  21.5
2.068  43.77  58.9

***

# 5
Structure and theoretical PXRD pattern of Ru3IO12 (the PBE geometry in Alexandria; Cu Kα (weighted mean of Kα1 and Kα2)).
Lines closer than 0.1° are merged.

```
Ru3IO12
1.0
4.661 2.691 9.435
-4.661 2.691 9.435
0.000 -5.382 9.435
Ru I O
6 2 24
direct
0.037 0.305 0.658 Ru
0.158 0.805 0.537 Ru
0.305 0.658 0.037 Ru
0.537 0.158 0.805 Ru
0.658 0.037 0.305 Ru
0.805 0.537 0.158 Ru
0.464 0.464 0.464 I
0.964 0.964 0.964 I
0.068 0.116 0.667 O
0.070 0.984 0.390 O
0.092 0.798 0.732 O
0.116 0.667 0.068 O
0.167 0.616 0.568 O
0.205 0.897 0.937 O
0.232 0.298 0.592 O
0.298 0.592 0.232 O
0.390 0.070 0.984 O
0.397 0.705 0.437 O
0.437 0.397 0.705 O
0.484 0.570 0.890 O
0.568 0.167 0.616 O
0.570 0.890 0.484 O
0.592 0.232 0.298 O
0.616 0.568 0.167 O
0.667 0.068 0.116 O
0.705 0.437 0.397 O
0.732 0.092 0.798 O
0.798 0.732 0.092 O
0.890 0.484 0.570 O
0.897 0.937 0.205 O
0.937 0.205 0.897 O
0.984 0.390 0.070 O
```

Main lines, by angle (2θ from 15° to 90°):
d/Å  2θ (°)  I_rel
5.321  16.66  12.7
4.717  18.81  49.8
4.179  21.26  100.0
3.506  25.41  13.4
3.315  26.89  15.2
2.690  33.31  22.8
2.607  34.40  21.7
2.337  38.52  24.1

***

# 6
Structure and theoretical PXRD pattern of RuS2IO8 (the PBE geometry in Alexandria; Cu Kα (weighted mean of Kα1 and Kα2)).
Lines closer than 0.1° are merged.

```
RuS2IO8
1.0
4.081 -2.619 0.000
4.081 2.619 0.000
-3.646 0.000 9.458
Ru S I O
1 2 1 8
direct
0.000 0.000 0.000 Ru
0.429 0.429 0.165 S
0.571 0.571 0.835 S
0.000 0.000 0.500 I
0.234 0.698 0.848 O
0.260 0.260 0.038 O
0.302 0.766 0.152 O
0.410 0.410 0.301 O
0.590 0.590 0.699 O
0.698 0.234 0.848 O
0.740 0.740 0.962 O
0.766 0.302 0.152 O
```

Main lines, by angle (2θ from 15° to 90°):
d/Å  2θ (°)  I_rel
4.729  18.77  30.5
4.316  20.58  24.9
3.808  23.36  60.6
3.571  24.94  100.0
2.906  30.76  37.9
2.619  34.24  19.5
2.381  37.78  22.3
2.279  39.55  22.5